# Ce9B3C6Br5
Calculated X-ray diffraction stick pattern, copper Kα. Input: a GGA-PBE-relaxed structure.
Lines closer than 0.1° are merged.

Crystal structure
```
Ce9B3C6Br5
1.0
7.995 0.000 0.000
0.000 3.705 0.000
-0.021 0.000 31.502
Ce B C Br
18 6 12 10
direct
0.000 0.000 0.000
0.000 0.000 0.239
0.105 0.500 0.119
0.206 0.000 0.619
0.311 0.500 0.500
0.311 0.500 0.739
0.460 0.500 0.380
0.460 0.500 0.859
0.573 0.000 0.273
0.574 0.000 0.966
0.600 0.000 0.567
0.600 0.000 0.671
0.710 0.500 0.067
0.710 0.500 0.172
0.736 0.500 0.466
0.736 0.500 0.773
0.849 0.000 0.359
0.849 0.000 0.880
0.442 0.500 0.619
0.502 0.000 0.791
0.503 0.000 0.448
0.807 0.500 0.291
0.807 0.500 0.947
0.868 0.000 0.119
0.374 0.500 0.574
0.374 0.500 0.664
0.529 0.000 0.496
0.529 0.000 0.743
0.638 0.000 0.826
0.639 0.000 0.413
0.671 0.500 0.326
0.671 0.500 0.913
0.782 0.500 0.243
0.782 0.500 0.996
0.936 0.000 0.074
0.936 0.000 0.165
0.071 0.500 0.417
0.071 0.500 0.822
0.239 0.000 0.322
0.240 0.000 0.916
0.326 0.500 0.021
0.326 0.500 0.218
0.433 0.000 0.119
0.878 0.500 0.619
0.984 0.000 0.521
0.984 0.000 0.718
```

Most intense lines, 10 to 80 degrees two-theta, by angle:
d_spacing	2θ (°)	I_rel
3.494	25.49	90
2.989	29.90	76
2.931	30.50	97
2.831	31.60	85
2.694	33.26	68
2.630	34.09	40
2.569	34.93	100
1.966	46.18	49
1.853	49.18	44
1.536	60.26	49

# NaAlBP2H3O10
Calculated X-ray diffraction stick pattern, copper Kα. Input: a GGA-PBE-relaxed structure.
Lines closer than 0.1° are merged.

Crystal structure
```
NaAlBP2H3O10
1.0
5.283 -4.040 0.000
5.283 4.040 0.000
-4.135 0.000 8.121
Na Al B P H O
2 2 2 4 6 20
direct
0.130 0.870 0.750
0.870 0.130 0.250
0.000 0.500 0.000
0.500 0.000 0.500
0.466 0.534 0.250
0.534 0.466 0.750
0.161 0.292 0.681
0.292 0.161 0.181
0.708 0.839 0.819
0.839 0.708 0.319
0.000 0.500 0.500
0.314 0.680 0.433
0.320 0.686 0.067
0.500 0.000 0.000
0.680 0.314 0.933
0.686 0.320 0.567
0.036 0.635 0.455
0.069 0.287 0.108
0.084 0.278 0.816
0.278 0.084 0.316
0.287 0.069 0.608
0.296 0.570 0.099
0.316 0.470 0.757
0.365 0.964 0.045
0.430 0.704 0.401
0.470 0.316 0.257
0.530 0.684 0.743
0.570 0.296 0.599
0.635 0.036 0.955
0.684 0.530 0.243
0.704 0.430 0.901
0.713 0.931 0.392
0.722 0.916 0.684
0.916 0.722 0.184
0.931 0.713 0.892
0.964 0.365 0.545
```

Most intense lines, 10 to 80 degrees two-theta, by angle:
d_spacing	2θ (°)	I_rel
4.708	18.85	99
4.060	21.89	28
3.968	22.41	74
3.198	27.90	100
3.002	29.76	29
2.926	30.56	45
2.864	31.23	100
2.615	34.29	33
2.147	42.10	37
1.834	49.71	30

# Hf2TcRh
Calculated X-ray diffraction stick pattern, copper Kα. Input: a GGA-PBE-relaxed structure.
Lines closer than 0.1° are merged.

Crystal structure
```
Hf2TcRh
1.0
0.000 3.264 3.264
3.264 0.000 3.264
3.264 3.264 0.000
Hf Tc Rh
2 1 1
direct
0.250 0.250 0.250
0.750 0.750 0.750
0.000 0.000 0.000
0.500 0.500 0.500
```

Most intense lines, 10 to 80 degrees two-theta, by angle:
d_spacing	2θ (°)	I_rel
3.264	27.32	8
2.308	39.03	100
1.884	48.30	3
1.632	56.38	17
1.460	63.76	4
1.332	70.70	35

# Zr
Calculated X-ray diffraction stick pattern, copper Kα. Input: a GGA-PBE-relaxed structure.
Lines closer than 0.1° are merged.

Crystal structure
```
Zr
1.0
3.011 0.000 0.000
-1.506 2.608 0.000
0.000 0.000 3.037
Zr
1
direct
0.000 0.000 0.000
```

Most intense lines, 10 to 80 degrees two-theta, by angle:
d_spacing	2θ (°)	I_rel
3.037	29.41	51
2.608	34.39	100
1.979	45.86	87
1.519	61.02	6
1.506	61.60	18
1.349	69.71	24
1.312	71.96	22
1.304	72.49	11

# Ce2AlRu2
Calculated X-ray diffraction stick pattern, copper Kα. Input: a GGA-PBE-relaxed structure.
Lines closer than 0.1° are merged.

Crystal structure
```
Ce2AlRu2
1.0
2.984 -5.016 0.000
2.984 5.016 0.000
0.000 0.000 6.929
Ce Al Ru
4 2 4
direct
0.161 0.839 0.919
0.339 0.661 0.419
0.661 0.339 0.581
0.839 0.161 0.081
0.000 0.000 0.500
0.500 0.500 0.000
0.132 0.368 0.750
0.368 0.132 0.250
0.632 0.868 0.750
0.868 0.632 0.250
```

Most intense lines, 10 to 80 degrees two-theta, by angle:
d_spacing	2θ (°)	I_rel
4.123	21.56	40
2.871	31.15	61
2.689	33.33	92
2.508	35.81	32
2.405	37.39	100
2.261	39.87	56
2.098	43.12	65
1.679	54.65	22
1.660	55.35	22
1.216	78.69	22

# CaPr2Ti2ZnO9
Calculated X-ray diffraction stick pattern, copper Kα. Input: a GGA-PBE-relaxed structure.
Lines closer than 0.1° are merged.

Crystal structure
```
CaPr2Ti2ZnO9
1.0
5.501 0.000 0.000
0.030 5.725 0.000
0.062 0.021 23.416
Ca Pr Ti Zn O
4 8 8 4 36
direct
0.000 0.000 0.000
0.001 0.000 0.331
0.498 0.611 0.506
0.502 0.609 0.175
0.010 0.993 0.669
0.476 0.491 0.667
0.477 0.482 0.333
0.480 0.483 0.002
0.511 0.608 0.838
0.977 0.110 0.503
0.977 0.111 0.173
0.979 0.108 0.838
0.001 0.553 0.920
0.463 0.032 0.085
0.463 0.032 0.416
0.495 0.051 0.753
0.967 0.563 0.421
0.967 0.564 0.089
0.984 0.554 0.585
0.994 0.558 0.253
0.490 0.041 0.253
0.491 0.046 0.584
0.492 0.045 0.923
0.994 0.550 0.753
0.085 0.524 0.840
0.085 0.528 0.499
0.085 0.529 0.168
0.183 0.263 0.600
0.186 0.265 0.938
0.187 0.265 0.268
0.202 0.249 0.072
0.202 0.249 0.403
0.206 0.245 0.737
0.281 0.742 0.600
0.287 0.737 0.266
0.288 0.738 0.935
0.289 0.756 0.070
0.289 0.756 0.402
0.304 0.763 0.736
0.402 0.023 0.834
0.407 0.022 0.497
0.409 0.023 0.165
0.586 0.079 0.672
0.590 0.074 0.341
0.591 0.074 0.009
0.688 0.336 0.770
0.706 0.359 0.907
0.707 0.362 0.568
0.708 0.357 0.434
0.709 0.357 0.103
0.711 0.362 0.238
0.786 0.857 0.769
0.792 0.839 0.435
0.792 0.840 0.104
0.803 0.836 0.905
0.807 0.842 0.570
0.808 0.840 0.239
0.901 0.577 0.665
0.910 0.581 0.006
0.911 0.578 0.337
```

Most intense lines, 10 to 80 degrees two-theta, by angle:
d_spacing	2θ (°)	I_rel
2.862	31.25	42
2.785	32.14	100
2.778	32.22	100
2.750	32.56	50
1.988	45.62	24
1.978	45.88	24
1.951	46.54	32
1.926	47.19	22
1.594	57.86	34
1.590	58.01	22

# DyPaTc2
Calculated X-ray diffraction stick pattern, copper Kα. Input: a GGA-PBE-relaxed structure.
Lines closer than 0.1° are merged.

Crystal structure
```
DyPaTc2
1.0
0.000 3.423 3.423
3.423 0.000 3.423
3.423 3.423 0.000
Dy Pa Tc
1 1 2
direct
0.000 0.000 0.000
0.500 0.500 0.500
0.250 0.250 0.250
0.750 0.750 0.750
```

Most intense lines, 10 to 80 degrees two-theta, by angle:
d_spacing	2θ (°)	I_rel
3.952	22.50	3
3.423	26.03	12
2.420	37.15	100
2.064	43.87	2
1.976	45.93	4
1.711	53.55	18
1.570	58.80	1
1.531	60.49	5
1.397	66.97	36
1.210	79.15	11

# TaNbCN
Calculated X-ray diffraction stick pattern, copper Kα. Input: a GGA-PBE-relaxed structure.
Lines closer than 0.1° are merged.

Crystal structure
```
TaNbCN
1.0
1.582 0.914 5.192
-1.582 0.914 5.192
0.000 -1.827 5.192
Ta Nb C N
1 1 1 1
direct
0.000 0.000 0.000
0.487 0.487 0.487
0.742 0.742 0.742
0.248 0.248 0.248
```

Most intense lines, 10 to 80 degrees two-theta, by angle:
d_spacing	2θ (°)	I_rel
5.192	17.08	23
2.699	33.19	13
2.596	34.55	32
2.585	34.70	100
2.241	40.24	92
1.587	58.12	28
1.582	58.31	31
1.354	69.40	12
1.351	69.61	40
1.293	73.22	15